Structure and computed powder diffractogram of Nd4Bi3H (a crystal structure in Alexandria, relaxed with PBE; a wavelength of 1.5418 Å).

Top 6 peaks for 2θ from 10° to 80°, in order of rising 2θ:
d (Å)	I/Imax
5.745	24
3.220	100
3.176	54
2.277	35
2.261	77
1.851	37

Cell and atoms:
Cell: 12.7050 6.4486 6.4334 Å, 90.00 90.00 90.00°
Space group Pmn2_1 (No. 31)
Unique sites:
Nd (0.0000, 0.1629, 0.9996)
Nd (0.0000, 0.7492, 0.5711)
Nd (0.2467, 0.2390, 0.5000)
Bi (0.0000, 0.2495, 0.4993)
Bi (0.2486, 0.2610, 0.0011)
H (0.0000, 0.8162, 0.9217)